Entry 1:
Rb3Na4: calculated X-ray diffraction stick pattern (Cu Kα), based on a crystal structure in Alexandria, relaxed with PBE.

Main lines, in order of falling intensity (2θ = 10–90°):
| 2θ (°) | I_rel | hkl |
| --- | --- | --- |
| 25.48 | 100 | 0 1 7 |
| 25.59 | 99 | 1 0 7 |
| 26.65 | 97 | 1 1 0 |
| 46.29 | 38 | 1 2 7 |
| 46.48 | 37 | 2 1 7 |
| 18.85 | 34 | 0 1 1 |
| 44.32 | 33 | 1 1 14 |
| 18.99 | 33 | 1 0 1 |

Structural model:
```
data_Rb3Na4
_chemical_formula_sum 'Rb6 Na8'
_cell_length_a 4.7120
_cell_length_b 4.7486
_cell_length_c 36.1513
_cell_angle_alpha 90.00
_cell_angle_beta 90.00
_cell_angle_gamma 90.00
_space_group_name_H-M_alt 'I m m m'
_space_group_IT_number 71
_space_group_name_Hall '-I 2 2'
loop_
_atom_site_label
_atom_site_type_symbol
_atom_site_fract_x
_atom_site_fract_y
_atom_site_fract_z
Rb1 Rb 0.0000 0.0000 0.0000
Rb2 Rb 0.0000 0.0000 0.1486
Na1 Na 0.0000 0.0000 0.2713
Na2 Na 0.0000 0.0000 0.4262
```


Entry 2:
Rb7Na2: calculated X-ray diffraction stick pattern (Cu Kα), based on a crystal structure in Alexandria, relaxed with PBE.

Main lines, in order of falling intensity (2θ = 10–90°):
| 2θ (°) | I_rel | hkl |
| --- | --- | --- |
| 22.57 | 100 | 1 1 1 |
| 26.31 | 63 | 2 -1 2 |
| 44.26 | 27 | 3 0 3 |
| 23.23 | 27 | 0 0 3 |
| 37.97 | 26 | 1 1 4 |
| 37.14 | 25 | 3 0 0 |
| 60.60 | 17 | 5 -1 2 |
| 43.90 | 16 | 4 -2 1 |

Structural model:
```
data_Rb7Na2
_chemical_formula_sum 'Rb7 Na2'
_cell_length_a 8.3863
_cell_length_b 8.3863
_cell_length_c 11.4885
_cell_angle_alpha 90.00
_cell_angle_beta 90.00
_cell_angle_gamma 120.00
_space_group_name_H-M_alt 'P -3 1 m'
_space_group_IT_number 162
_space_group_name_Hall '-P 3 2'
loop_
_atom_site_label
_atom_site_type_symbol
_atom_site_fract_x
_atom_site_fract_y
_atom_site_fract_z
Rb1 Rb 0.0000 0.0000 0.0000
Rb2 Rb 0.0000 0.3453 0.6844
Na1 Na 0.3333 0.6667 0.0000
```


Entry 3:
RbNa3: calculated X-ray diffraction stick pattern (Cu Kα), based on a crystal structure in Alexandria, relaxed with PBE.

Main lines, in order of falling intensity (2θ = 10–90°):
| 2θ (°) | I_rel | hkl |
| --- | --- | --- |
| 28.73 | 100 | 1 1 1 |
| 27.82 | 63 | 0 1 2 |
| 18.10 | 44 | 0 1 1 |
| 25.26 | 41 | 1 0 1 |
| 27.10 | 41 | 0 2 0 |
| 13.45 | 31 | 0 1 0 |
| 43.26 | 29 | 1 0 3 |
| 37.39 | 28 | 1 2 1 |

Structural model:
```
data_RbNa3
_chemical_formula_sum 'Rb1 Na3'
_cell_length_a 4.0186
_cell_length_b 6.5808
_cell_length_c 7.3446
_cell_angle_alpha 90.00
_cell_angle_beta 90.00
_cell_angle_gamma 90.00
_space_group_name_H-M_alt 'P m m 2'
_space_group_IT_number 25
loop_
_space_group_symop_operation_xyz
'x,y,z'
'-x,-y,z'
'-x,y,z'
'x,-y,z'
loop_
_atom_site_label
_atom_site_type_symbol
_atom_site_fract_x
_atom_site_fract_y
_atom_site_fract_z
Rb1 Rb 0.0000 0.0000 0.0000
Na1 Na 0.0000 0.5000 0.6547
Na2 Na 0.5000 0.0000 0.5010
Na3 Na 0.5000 0.5000 0.2288
```


Please write out number 1 again, unchanged.
Rb3Na4: calculated X-ray diffraction stick pattern (Cu Kα), based on a crystal structure in Alexandria, relaxed with PBE.

Main lines, in order of falling intensity (2θ = 10–90°):
| 2θ (°) | I_rel | hkl |
| --- | --- | --- |
| 25.48 | 100 | 0 1 7 |
| 25.59 | 99 | 1 0 7 |
| 26.65 | 97 | 1 1 0 |
| 46.29 | 38 | 1 2 7 |
| 46.48 | 37 | 2 1 7 |
| 18.85 | 34 | 0 1 1 |
| 44.32 | 33 | 1 1 14 |
| 18.99 | 33 | 1 0 1 |

Structural model:
```
data_Rb3Na4
_chemical_formula_sum 'Rb6 Na8'
_cell_length_a 4.7120
_cell_length_b 4.7486
_cell_length_c 36.1513
_cell_angle_alpha 90.00
_cell_angle_beta 90.00
_cell_angle_gamma 90.00
_space_group_name_H-M_alt 'I m m m'
_space_group_IT_number 71
_space_group_name_Hall '-I 2 2'
loop_
_atom_site_label
_atom_site_type_symbol
_atom_site_fract_x
_atom_site_fract_y
_atom_site_fract_z
Rb1 Rb 0.0000 0.0000 0.0000
Rb2 Rb 0.0000 0.0000 0.1486
Na1 Na 0.0000 0.0000 0.2713
Na2 Na 0.0000 0.0000 0.4262
```


What did the first record say?
Rb3Na4: calculated X-ray diffraction stick pattern (Cu Kα), based on a crystal structure in Alexandria, relaxed with PBE.

Main lines, in order of falling intensity (2θ = 10–90°):
| 2θ (°) | I_rel | hkl |
| --- | --- | --- |
| 25.48 | 100 | 0 1 7 |
| 25.59 | 99 | 1 0 7 |
| 26.65 | 97 | 1 1 0 |
| 46.29 | 38 | 1 2 7 |
| 46.48 | 37 | 2 1 7 |
| 18.85 | 34 | 0 1 1 |
| 44.32 | 33 | 1 1 14 |
| 18.99 | 33 | 1 0 1 |

Structural model:
```
data_Rb3Na4
_chemical_formula_sum 'Rb6 Na8'
_cell_length_a 4.7120
_cell_length_b 4.7486
_cell_length_c 36.1513
_cell_angle_alpha 90.00
_cell_angle_beta 90.00
_cell_angle_gamma 90.00
_space_group_name_H-M_alt 'I m m m'
_space_group_IT_number 71
_space_group_name_Hall '-I 2 2'
loop_
_atom_site_label
_atom_site_type_symbol
_atom_site_fract_x
_atom_site_fract_y
_atom_site_fract_z
Rb1 Rb 0.0000 0.0000 0.0000
Rb2 Rb 0.0000 0.0000 0.1486
Na1 Na 0.0000 0.0000 0.2713
Na2 Na 0.0000 0.0000 0.4262
```